# 1
ScGa2Pd3: simulated PXRD pattern (Cu Kα (λ = 1.5418 Å)), based on a PBE-relaxed structure.
Lines closer than 0.1° are merged.

```
data_ScGa2Pd3
_cell_length_a 4.480
_cell_length_b 4.480
_cell_length_c 10.963
_cell_angle_alpha 90.00
_cell_angle_beta 90.00
_cell_angle_gamma 120.00
_space_group_name_H-M_alt 'P 1'
_space_group_IT_number 1
_space_group_name_Hall 'P 1'
loop_
_atom_site_label
_atom_site_type_symbol
_atom_site_fract_x
_atom_site_fract_y
_atom_site_fract_z
_atom_site_occupancy
Sc1 Sc 0.333 0.667 0.171 1
Sc2 Sc 0.667 0.333 0.829 1
Ga1 Ga 0.000 0.000 0.000 1
Ga2 Ga 0.000 0.000 0.500 1
Ga3 Ga 0.333 0.667 0.674 1
Ga4 Ga 0.667 0.333 0.326 1
Pd1 Pd 0.000 0.000 0.268 1
Pd2 Pd 0.000 0.000 0.732 1
Pd3 Pd 0.333 0.667 0.429 1
Pd4 Pd 0.333 0.667 0.920 1
Pd5 Pd 0.667 0.333 0.080 1
Pd6 Pd 0.667 0.333 0.571 1
```

The 10 most intense peaks (2θ from 15° to 90°), by angle:
24.34 deg, I = 2
28.18 deg, I = 9
40.27 deg, I = 100
47.63 deg, I = 1
49.87 deg, I = 2
58.27 deg, I = 16
58.95 deg, I = 1
65.96 deg, I = 3
73.21 deg, I = 31
87.03 deg, I = 10

---

# 2
Pm4Y3Tm4: simulated PXRD pattern (Cu Kα (λ = 1.5418 Å)), based on a PBE-relaxed structure.
Lines closer than 0.1° are merged.

```
data_Pm4Y3Tm4
_cell_length_a 10.564
_cell_length_b 6.659
_cell_length_c 6.659
_cell_angle_alpha 50.37
_cell_angle_beta 90.00
_cell_angle_gamma 90.00
_space_group_name_H-M_alt 'P 1'
_space_group_IT_number 1
_space_group_name_Hall 'P 1'
loop_
_atom_site_label
_atom_site_type_symbol
_atom_site_fract_x
_atom_site_fract_y
_atom_site_fract_z
_atom_site_occupancy
Pm1 Pm 0.000 0.000 0.000 1
Pm2 Pm 0.208 0.794 0.794 1
Pm3 Pm 0.500 0.924 0.924 1
Pm4 Pm 0.792 0.794 0.794 1
Y1 Y 0.000 0.293 0.293 1
Y2 Y 0.290 0.451 0.451 1
Y3 Y 0.710 0.451 0.451 1
Tm1 Tm 0.000 0.592 0.592 1
Tm2 Tm 0.302 0.144 0.144 1
Tm3 Tm 0.500 0.653 0.653 1
Tm4 Tm 0.698 0.144 0.144 1
```

The 10 most intense peaks (2θ from 15° to 90°), by angle:
30.82 deg, I = 49
31.58 deg, I = 39
32.14 deg, I = 100
33.94 deg, I = 15
44.74 deg, I = 13
47.04 deg, I = 12
52.93 deg, I = 11
56.59 deg, I = 23
62.22 deg, I = 15
62.95 deg, I = 13

---

# 3
Ba6Gd2Al4O15: simulated PXRD pattern (Cu Kα (λ = 1.5418 Å)), based on a PBE-relaxed structure.
Lines closer than 0.1° are merged.

```
data_Ba6Gd2Al4O15
_cell_length_a 7.972
_cell_length_b 5.993
_cell_length_c 18.611
_cell_angle_alpha 90.00
_cell_angle_beta 91.53
_cell_angle_gamma 90.00
_space_group_name_H-M_alt 'P 1'
_space_group_IT_number 1
_space_group_name_Hall 'P 1'
loop_
_atom_site_label
_atom_site_type_symbol
_atom_site_fract_x
_atom_site_fract_y
_atom_site_fract_z
_atom_site_occupancy
Ba1 Ba 0.000 0.174 0.250 1
Ba2 Ba 0.000 0.826 0.750 1
Ba3 Ba 0.002 0.256 0.917 1
Ba4 Ba 0.002 0.744 0.417 1
Ba5 Ba 0.469 0.248 0.909 1
Ba6 Ba 0.469 0.752 0.409 1
Ba7 Ba 0.500 0.228 0.250 1
Ba8 Ba 0.500 0.772 0.750 1
Ba9 Ba 0.531 0.248 0.591 1
Ba10 Ba 0.531 0.752 0.091 1
Ba11 Ba 0.998 0.256 0.583 1
Ba12 Ba 0.998 0.744 0.083 1
Gd1 Gd 0.253 0.249 0.089 1
Gd2 Gd 0.253 0.751 0.589 1
Gd3 Gd 0.747 0.249 0.411 1
Gd4 Gd 0.747 0.751 0.911 1
Al1 Al 0.252 0.247 0.443 1
Al2 Al 0.252 0.753 0.943 1
Al3 Al 0.280 0.270 0.733 1
Al4 Al 0.280 0.730 0.233 1
Al5 Al 0.720 0.270 0.767 1
Al6 Al 0.720 0.730 0.267 1
Al7 Al 0.748 0.247 0.057 1
Al8 Al 0.748 0.753 0.557 1
O1 O 0.041 0.256 0.407 1
O2 O 0.041 0.744 0.907 1
O3 O 0.193 0.180 0.813 1
O4 O 0.193 0.820 0.313 1
O5 O 0.229 0.472 0.191 1
O6 O 0.229 0.528 0.691 1
O7 O 0.255 0.053 0.666 1
O8 O 0.255 0.947 0.166 1
O9 O 0.264 0.003 0.996 1
O10 O 0.264 0.480 0.505 1
O11 O 0.264 0.520 0.005 1
O12 O 0.264 0.997 0.496 1
O13 O 0.441 0.263 0.393 1
O14 O 0.441 0.737 0.893 1
O15 O 0.500 0.291 0.750 1
O16 O 0.500 0.709 0.250 1
O17 O 0.559 0.263 0.107 1
O18 O 0.559 0.737 0.607 1
O19 O 0.736 0.003 0.504 1
O20 O 0.736 0.480 0.995 1
O21 O 0.736 0.520 0.495 1
O22 O 0.736 0.997 0.004 1
O23 O 0.745 0.053 0.834 1
O24 O 0.745 0.947 0.334 1
O25 O 0.771 0.472 0.309 1
O26 O 0.771 0.528 0.809 1
O27 O 0.807 0.180 0.687 1
O28 O 0.807 0.820 0.187 1
O29 O 0.959 0.256 0.093 1
O30 O 0.959 0.744 0.593 1
```

The 10 most intense peaks (2θ from 15° to 90°), by angle:
28.79 deg, I = 53
29.81 deg, I = 53
30.26 deg, I = 100
30.84 deg, I = 94
41.93 deg, I = 51
45.54 deg, I = 23
51.57 deg, I = 21
52.69 deg, I = 16
53.20 deg, I = 17
53.57 deg, I = 16

---

# 4
Ho2SbS2: simulated PXRD pattern (Cu Kα (λ = 1.5418 Å)), based on a PBE-relaxed structure.
Lines closer than 0.1° are merged.

```
data_Ho2SbS2
_cell_length_a 6.979
_cell_length_b 6.979
_cell_length_c 6.668
_cell_angle_alpha 110.70
_cell_angle_beta 110.70
_cell_angle_gamma 97.15
_space_group_name_H-M_alt 'P 1'
_space_group_IT_number 1
_space_group_name_Hall 'P 1'
loop_
_atom_site_label
_atom_site_type_symbol
_atom_site_fract_x
_atom_site_fract_y
_atom_site_fract_z
_atom_site_occupancy
Ho1 Ho 0.090 0.910 0.750 1
Ho2 Ho 0.318 0.682 0.250 1
Ho3 Ho 0.682 0.318 0.750 1
Ho4 Ho 0.910 0.090 0.250 1
Sb1 Sb 0.379 0.621 0.750 1
Sb2 Sb 0.621 0.379 0.250 1
S1 S 0.068 0.277 0.031 1
S2 S 0.277 0.068 0.531 1
S3 S 0.723 0.932 0.469 1
S4 S 0.932 0.723 0.969 1
```

The 10 most intense peaks (2θ from 15° to 90°), by angle:
22.78 deg, I = 100
23.19 deg, I = 30
27.40 deg, I = 81
28.01 deg, I = 29
29.04 deg, I = 42
31.75 deg, I = 39
35.26 deg, I = 51
39.10 deg, I = 26
39.72 deg, I = 36
44.40 deg, I = 23

---

# 5
HoSeBr: simulated PXRD pattern (Cu Kα (λ = 1.5418 Å)), based on a PBE-relaxed structure.
Lines closer than 0.1° are merged.

```
data_HoSeBr
_cell_length_a 8.335
_cell_length_b 8.335
_cell_length_c 5.675
_cell_angle_alpha 90.00
_cell_angle_beta 90.00
_cell_angle_gamma 90.00
_space_group_name_H-M_alt 'P 1'
_space_group_IT_number 1
_space_group_name_Hall 'P 1'
loop_
_atom_site_label
_atom_site_type_symbol
_atom_site_fract_x
_atom_site_fract_y
_atom_site_fract_z
_atom_site_occupancy
Ho1 Ho 0.000 0.253 0.000 1
Ho2 Ho 0.000 0.747 0.000 1
Ho3 Ho 0.253 0.000 0.500 1
Ho4 Ho 0.747 0.000 0.500 1
Se1 Se 0.000 0.234 0.500 1
Se2 Se 0.000 0.766 0.500 1
Se3 Se 0.234 0.000 0.000 1
Se4 Se 0.766 0.000 0.000 1
Br1 Br 0.230 0.500 0.000 1
Br2 Br 0.500 0.230 0.500 1
Br3 Br 0.500 0.770 0.500 1
Br4 Br 0.770 0.500 0.000 1
```

The 10 most intense peaks (2θ from 15° to 90°), by angle:
18.92 deg, I = 54
23.87 deg, I = 19
28.65 deg, I = 23
30.33 deg, I = 100
31.53 deg, I = 46
42.21 deg, I = 20
43.43 deg, I = 36
44.32 deg, I = 70
54.65 deg, I = 37
80.33 deg, I = 22

---

# 6
Pm2SiGe2: simulated PXRD pattern (Cu Kα (λ = 1.5418 Å)), based on a PBE-relaxed structure.
Lines closer than 0.1° are merged.

```
data_Pm2SiGe2
_cell_length_a 5.913
_cell_length_b 5.913
_cell_length_c 10.936
_cell_angle_alpha 114.55
_cell_angle_beta 114.55
_cell_angle_gamma 41.75
_space_group_name_H-M_alt 'P 1'
_space_group_IT_number 1
_space_group_name_Hall 'P 1'
loop_
_atom_site_label
_atom_site_type_symbol
_atom_site_fract_x
_atom_site_fract_y
_atom_site_fract_z
_atom_site_occupancy
Pm1 Pm 0.098 0.098 0.402 1
Pm2 Pm 0.298 0.298 0.856 1
Pm3 Pm 0.702 0.702 0.144 1
Pm4 Pm 0.902 0.902 0.598 1
Si1 Si 0.440 0.440 0.201 1
Si2 Si 0.560 0.560 0.799 1
Ge1 Ge 0.046 0.046 0.911 1
Ge2 Ge 0.367 0.367 0.383 1
Ge3 Ge 0.633 0.633 0.617 1
Ge4 Ge 0.954 0.954 0.089 1
```

The 10 most intense peaks (2θ from 15° to 90°), by angle:
25.12 deg, I = 19
26.73 deg, I = 37
31.84 deg, I = 100
32.45 deg, I = 90
34.53 deg, I = 17
36.70 deg, I = 29
40.85 deg, I = 48
42.93 deg, I = 33
54.85 deg, I = 19
62.88 deg, I = 19

---

# 7
Th2Ga12Ge: simulated PXRD pattern (Cu Kα (λ = 1.5418 Å)), based on a PBE-relaxed structure.
Lines closer than 0.1° are merged.

```
data_Th2Ga12Ge
_cell_length_a 5.958
_cell_length_b 5.958
_cell_length_c 17.304
_cell_angle_alpha 90.00
_cell_angle_beta 90.00
_cell_angle_gamma 90.00
_space_group_name_H-M_alt 'P 1'
_space_group_IT_number 1
_space_group_name_Hall 'P 1'
loop_
_atom_site_label
_atom_site_type_symbol
_atom_site_fract_x
_atom_site_fract_y
_atom_site_fract_z
_atom_site_occupancy
Th1 Th 0.250 0.750 0.226 1
Th2 Th 0.250 0.750 0.774 1
Th3 Th 0.750 0.250 0.226 1
Th4 Th 0.750 0.250 0.774 1
Ga1 Ga 0.001 0.501 0.390 1
Ga2 Ga 0.001 0.999 0.610 1
Ga3 Ga 0.073 0.573 0.935 1
Ga4 Ga 0.073 0.927 0.065 1
Ga5 Ga 0.250 0.250 0.150 1
Ga6 Ga 0.250 0.250 0.294 1
Ga7 Ga 0.250 0.250 0.706 1
Ga8 Ga 0.250 0.250 0.850 1
Ga9 Ga 0.427 0.573 0.065 1
Ga10 Ga 0.427 0.927 0.935 1
Ga11 Ga 0.499 0.501 0.610 1
Ga12 Ga 0.499 0.999 0.390 1
Ga13 Ga 0.501 0.001 0.610 1
Ga14 Ga 0.501 0.499 0.390 1
Ga15 Ga 0.573 0.073 0.065 1
Ga16 Ga 0.573 0.427 0.935 1
Ga17 Ga 0.750 0.750 0.150 1
Ga18 Ga 0.750 0.750 0.294 1
Ga19 Ga 0.750 0.750 0.706 1
Ga20 Ga 0.750 0.750 0.850 1
Ga21 Ga 0.927 0.073 0.935 1
Ga22 Ga 0.927 0.427 0.065 1
Ga23 Ga 0.999 0.001 0.390 1
Ga24 Ga 0.999 0.499 0.610 1
Ge1 Ge 0.250 0.750 0.500 1
Ge2 Ge 0.750 0.250 0.500 1
```

The 10 most intense peaks (2θ from 15° to 90°), by angle:
21.09 deg, I = 22
29.60 deg, I = 60
31.77 deg, I = 100
33.51 deg, I = 21
33.86 deg, I = 44
36.62 deg, I = 64
42.39 deg, I = 59
42.93 deg, I = 67
53.01 deg, I = 25
61.92 deg, I = 23

---

# 8
Tb2Ge2O7: simulated PXRD pattern (Cu Kα (λ = 1.5418 Å)), based on a PBE-relaxed structure.
Lines closer than 0.1° are merged.

```
data_Tb2Ge2O7
_cell_length_a 6.897
_cell_length_b 6.897
_cell_length_c 12.571
_cell_angle_alpha 90.00
_cell_angle_beta 90.00
_cell_angle_gamma 90.00
_space_group_name_H-M_alt 'P 1'
_space_group_IT_number 1
_space_group_name_Hall 'P 1'
loop_
_atom_site_label
_atom_site_type_symbol
_atom_site_fract_x
_atom_site_fract_y
_atom_site_fract_z
_atom_site_occupancy
Tb1 Tb 0.124 0.351 0.116 1
Tb2 Tb 0.149 0.624 0.366 1
Tb3 Tb 0.351 0.124 0.884 1
Tb4 Tb 0.376 0.851 0.134 1
Tb5 Tb 0.624 0.149 0.634 1
Tb6 Tb 0.649 0.876 0.384 1
Tb7 Tb 0.851 0.376 0.866 1
Tb8 Tb 0.876 0.649 0.616 1
Ge1 Ge 0.099 0.153 0.630 1
Ge2 Ge 0.153 0.099 0.370 1
Ge3 Ge 0.347 0.599 0.880 1
Ge4 Ge 0.401 0.653 0.620 1
Ge5 Ge 0.599 0.347 0.120 1
Ge6 Ge 0.653 0.401 0.380 1
Ge7 Ge 0.847 0.901 0.870 1
Ge8 Ge 0.901 0.847 0.130 1
O1 O 0.030 0.078 0.874 1
O2 O 0.064 0.662 0.178 1
O3 O 0.078 0.030 0.126 1
O4 O 0.143 0.315 0.296 1
O5 O 0.162 0.436 0.928 1
O6 O 0.185 0.643 0.546 1
O7 O 0.197 0.197 0.500 1
O8 O 0.303 0.697 0.750 1
O9 O 0.315 0.143 0.704 1
O10 O 0.338 0.936 0.322 1
O11 O 0.357 0.815 0.954 1
O12 O 0.422 0.530 0.124 1
O13 O 0.436 0.162 0.072 1
O14 O 0.470 0.578 0.376 1
O15 O 0.530 0.422 0.876 1
O16 O 0.564 0.838 0.572 1
O17 O 0.578 0.470 0.624 1
O18 O 0.643 0.185 0.454 1
O19 O 0.662 0.064 0.822 1
O20 O 0.685 0.857 0.204 1
O21 O 0.697 0.303 0.250 1
O22 O 0.803 0.803 0.000 1
O23 O 0.815 0.357 0.046 1
O24 O 0.838 0.564 0.428 1
O25 O 0.857 0.685 0.796 1
O26 O 0.922 0.970 0.626 1
O27 O 0.936 0.338 0.678 1
O28 O 0.970 0.922 0.374 1
```

The 10 most intense peaks (2θ from 15° to 90°), by angle:
26.81 deg, I = 81
28.40 deg, I = 78
28.95 deg, I = 26
29.83 deg, I = 46
32.33 deg, I = 100
33.66 deg, I = 40
48.12 deg, I = 40
52.82 deg, I = 35
53.12 deg, I = 22
61.33 deg, I = 26

---

# 9
Ta3BH2: simulated PXRD pattern (Cu Kα (λ = 1.5418 Å)), based on a PBE-relaxed structure.
Lines closer than 0.1° are merged.

```
data_Ta3BH2
_cell_length_a 5.200
_cell_length_b 3.250
_cell_length_c 8.422
_cell_angle_alpha 90.00
_cell_angle_beta 107.73
_cell_angle_gamma 90.00
_space_group_name_H-M_alt 'P 1'
_space_group_IT_number 1
_space_group_name_Hall 'P 1'
loop_
_atom_site_label
_atom_site_type_symbol
_atom_site_fract_x
_atom_site_fract_y
_atom_site_fract_z
_atom_site_occupancy
Ta1 Ta 0.026 0.250 0.353 1
Ta2 Ta 0.232 0.250 0.964 1
Ta3 Ta 0.466 0.750 0.318 1
Ta4 Ta 0.534 0.250 0.682 1
Ta5 Ta 0.768 0.750 0.036 1
Ta6 Ta 0.974 0.750 0.647 1
B1 B 0.383 0.750 0.824 1
B2 B 0.617 0.250 0.176 1
H1 H 0.133 0.250 0.585 1
H2 H 0.163 0.750 0.088 1
H3 H 0.837 0.250 0.912 1
H4 H 0.867 0.750 0.415 1
```

The 10 most intense peaks (2θ from 15° to 90°), by angle:
32.95 deg, I = 9
33.51 deg, I = 31
34.49 deg, I = 17
36.35 deg, I = 14
36.68 deg, I = 100
41.29 deg, I = 8
56.64 deg, I = 9
60.82 deg, I = 12
67.44 deg, I = 8
68.01 deg, I = 12

---

# 10
Pa2ZnGe: simulated PXRD pattern (Cu Kα (λ = 1.5418 Å)), based on a PBE-relaxed structure.
Lines closer than 0.1° are merged.

```
data_Pa2ZnGe
_cell_length_a 6.147
_cell_length_b 6.147
_cell_length_c 6.147
_cell_angle_alpha 118.37
_cell_angle_beta 93.76
_cell_angle_gamma 117.34
_space_group_name_H-M_alt 'P 1'
_space_group_IT_number 1
_space_group_name_Hall 'P 1'
loop_
_atom_site_label
_atom_site_type_symbol
_atom_site_fract_x
_atom_site_fract_y
_atom_site_fract_z
_atom_site_occupancy
Pa1 Pa 0.271 0.000 0.771 1
Pa2 Pa 0.271 0.500 0.271 1
Pa3 Pa 0.729 0.000 0.229 1
Pa4 Pa 0.729 0.500 0.729 1
Zn1 Zn 0.212 0.462 0.750 1
Zn2 Zn 0.788 0.538 0.250 1
Ge1 Ge 0.216 0.966 0.250 1
Ge2 Ge 0.784 0.034 0.750 1
```

The 10 most intense peaks (2θ from 15° to 90°), by angle:
21.15 deg, I = 44
27.91 deg, I = 28
28.34 deg, I = 24
35.28 deg, I = 98
35.63 deg, I = 100
40.20 deg, I = 72
43.06 deg, I = 25
45.86 deg, I = 28
60.37 deg, I = 36
70.32 deg, I = 27

---

# 11
Pt2W: simulated PXRD pattern (Cu Kα (λ = 1.5418 Å)), based on a PBE-relaxed structure.
Lines closer than 0.1° are merged.

```
data_Pt2W
_cell_length_a 7.675
_cell_length_b 7.675
_cell_length_c 2.781
_cell_angle_alpha 90.00
_cell_angle_beta 90.00
_cell_angle_gamma 120.00
_space_group_name_H-M_alt 'P 1'
_space_group_IT_number 1
_space_group_name_Hall 'P 1'
loop_
_atom_site_label
_atom_site_type_symbol
_atom_site_fract_x
_atom_site_fract_y
_atom_site_fract_z
_atom_site_occupancy
Pt1 Pt 0.000 0.303 0.000 1
Pt2 Pt 0.000 0.637 0.500 1
Pt3 Pt 0.303 0.000 0.000 1
Pt4 Pt 0.363 0.363 0.500 1
Pt5 Pt 0.637 0.000 0.500 1
Pt6 Pt 0.697 0.697 0.000 1
W1 W 0.000 0.000 0.500 1
W2 W 0.333 0.667 0.000 1
W3 W 0.667 0.333 0.000 1
```

The 10 most intense peaks (2θ from 15° to 90°), by angle:
35.74 deg, I = 12
40.04 deg, I = 81
40.72 deg, I = 100
42.38 deg, I = 27
48.85 deg, I = 17
58.43 deg, I = 22
70.42 deg, I = 19
73.66 deg, I = 18
74.12 deg, I = 13
81.76 deg, I = 27